Diffraction record for GdHo2Ge. The XRD peak list is computed, not measured: it uses a structure optimized by DFT (GGA-PBE) and a wavelength of 1.5418 Å.
Peak positions follow from Bragg's law for the DFT cell and can differ from measured ones.

Atomic structure:
a = 4.6908 Å, b = 4.6908 Å, c = 4.6249 Å
α = 90.00°, β = 90.00°, γ = 90.00°
Positions (direct):
Gd (0.0000, 0.0000, 0.0000)
Ho (0.0000, 0.5000, 0.5000)
Ho (0.5000, 0.0000, 0.5000)
Ge (0.5000, 0.5000, 0.0000)

Principal peaks in the range 2θ = 10–90°, by angle:
d_spacing	two_theta	intensity
4.691	18.92	4.0
4.625	19.19	2.8
3.293	27.08	3.4
2.695	33.24	100.0
2.345	38.38	33.9
2.312	38.95	16.3
1.658	55.40	11.7
1.647	55.83	22.9
1.412	66.16	27.4
1.398	66.93	13.2
1.348	69.78	11.7
1.173	82.20	3.8